This entry pairs a crystal structure of AcTb6 with its theoretical XRD peak list. Radiation: CuKα. Structure: a DFT-relaxed cell (PBE, Alexandria).
No peak broadening, texture or thermal motion is included.

Structural model:
```
AcTb6
1.0
8.1310 0.0000 0.0000
0.0000 8.1310 0.0000
0.0000 0.0000 8.1310
Ac Tb
2 12
direct
0.0000 0.0000 0.0000
0.5000 0.5000 0.5000
0.0000 0.2500 0.5000
0.0000 0.5000 0.2500
0.0000 0.5000 0.7500
0.0000 0.7500 0.5000
0.2500 0.0000 0.5000
0.2500 0.5000 0.0000
0.5000 0.0000 0.2500
0.5000 0.0000 0.7500
0.5000 0.2500 0.0000
0.5000 0.7500 0.0000
0.7500 0.0000 0.5000
0.7500 0.5000 0.0000
```

Principal peaks in the range 5° ≤ 2θ ≤ 70°, by angle:
2theta  d (Å)  Rel. int.
21.86  4.065  41.3
26.86  3.319  100.0
38.35  2.347  24.0
41.56  2.173  63.1
44.57  2.033  30.6
64.87  1.437  20.1

This entry pairs a crystal structure of Ac8Tb3 with its theoretical XRD peak list. Radiation: CuKα. Structure: a DFT-relaxed cell (PBE, Alexandria).
No peak broadening, texture or thermal motion is included.

Structural model:
```
Ac8Tb3
1.0
6.5718 3.7942 3.2269
-6.5718 3.7942 3.2269
0.0000 -7.5885 3.2269
Ac Tb
8 3
direct
0.1893 0.7010 0.5809
0.2344 0.2344 0.2344
0.2990 0.4191 0.8107
0.4191 0.8107 0.2990
0.5809 0.1893 0.7010
0.7010 0.5809 0.1893
0.7656 0.7656 0.7656
0.8107 0.2990 0.4191
0.0000 0.0000 0.5000
0.0000 0.5000 0.0000
0.5000 0.0000 0.0000
```

Principal peaks in the range 5° ≤ 2θ ≤ 70°, by angle:
2theta  d (Å)  Rel. int.
22.62  3.931  24.1
27.14  3.286  83.5
27.70  3.221  100.0
29.77  3.001  46.8
33.90  2.644  38.2
39.14  2.301  49.5

This entry pairs a crystal structure of AcTb2Te3 with its theoretical XRD peak list. Radiation: CuKα. Structure: a DFT-relaxed cell (PBE, Alexandria).
No peak broadening, texture or thermal motion is included.

Structural model:
```
AcTb2Te3
1.0
7.5545 0.0000 0.0000
0.0000 4.3688 0.0000
-2.4944 0.0000 11.6873
Ac Tb Te
2 4 6
direct
0.0249 0.2500 0.3290
0.9751 0.7500 0.6710
0.2466 0.2500 0.9875
0.4722 0.2500 0.6757
0.5278 0.7500 0.3243
0.7534 0.7500 0.0125
0.1498 0.7500 0.1496
0.2766 0.7500 0.5041
0.3816 0.7500 0.8432
0.6184 0.2500 0.1568
0.7234 0.2500 0.4959
0.8502 0.2500 0.8504
```

Principal peaks in the range 5° ≤ 2θ ≤ 70°, by angle:
2theta  d (Å)  Rel. int.
25.66  3.471  46.7
26.79  3.328  100.0
29.60  3.017  44.3
31.25  2.863  87.6
41.11  2.196  41.8
41.37  2.183  90.7

This entry pairs a crystal structure of AcTb2Te5 with its theoretical XRD peak list. Radiation: CuKα. Structure: a DFT-relaxed cell (PBE, Alexandria).
No peak broadening, texture or thermal motion is included.

Structural model:
```
AcTb2Te5
1.0
-4.1625 4.1625 7.2141
4.1625 -4.1625 7.2141
4.1625 4.1625 -7.2141
Ac Tb Te
2 4 10
direct
0.2500 0.2500 0.0000
0.7500 0.7500 0.0000
0.1522 0.6522 0.8044
0.3478 0.1522 0.5000
0.6522 0.8478 0.5000
0.8478 0.3478 0.1956
0.0000 0.0000 0.0000
0.0095 0.2025 0.5000
0.2025 0.7025 0.1930
0.2975 0.4905 0.5000
0.4905 0.9905 0.1930
0.5000 0.5000 0.0000
0.5095 0.0095 0.8070
0.7025 0.5095 0.5000
0.7975 0.2975 0.8070
0.9905 0.7975 0.5000
```

Principal peaks in the range 5° ≤ 2θ ≤ 70°, by angle:
2theta  d (Å)  Rel. int.
29.03  3.076  20.7
30.36  2.944  100.0
34.06  2.633  58.5
48.93  1.862  21.5
62.42  1.488  19.2
63.17  1.472  25.0